(1)
Starting from the PBE geometry in Alexandria, the powder XRD pattern of Re2Sb was computed for λ = 1.5418 Å (Cu Kα).
Lines closer than 0.1° are merged.

Structural model:
a = 9.694 Å, b = 9.694 Å, c = 4.371 Å
α = 90.00°, β = 90.00°, γ = 162.45°
Positions (direct):
Re  0.040  0.960  0.750
Re  0.423  0.577  0.750
Re  0.577  0.423  0.250
Re  0.960  0.040  0.250
Sb  0.330  0.670  0.250
Sb  0.670  0.330  0.750

Peak list (6 most intense, 10 to 90 degrees two-theta, sorted by position)
2theta, d [Å], I_rel
33.38, 2.684, 37
39.39, 2.287, 87
41.31, 2.186, 45
43.06, 2.101, 49
43.86, 2.064, 100
77.09, 1.237, 35


(2)
Starting from the PBE geometry in Alexandria, the powder XRD pattern of TbSm2Ho4Er was computed for λ = 1.5418 Å (Cu Kα).
Lines closer than 0.1° are merged.

Structural model:
a = 9.481 Å, b = 9.481 Å, c = 6.783 Å
α = 110.96°, β = 110.96°, γ = 88.62°
Positions (direct):
Tb  0.000  0.500  0.000
Tb  0.500  0.000  0.500
Sm  0.000  0.000  0.000
Sm  0.000  0.000  0.500
Sm  0.000  0.500  0.500
Sm  0.500  0.000  0.000
Ho  0.252  0.254  0.004
Ho  0.253  0.747  0.001
Ho  0.253  0.747  0.499
Ho  0.254  0.252  0.504
Ho  0.746  0.748  0.496
Ho  0.747  0.253  0.501
Ho  0.747  0.253  0.999
Ho  0.748  0.746  0.996
Er  0.500  0.500  0.000
Er  0.500  0.500  0.500

Peak list (6 most intense, 10 to 90 degrees two-theta, sorted by position)
2theta, d [Å], I_rel
26.93, 3.311, 46
30.43, 2.937, 100
41.08, 2.197, 89
54.07, 1.696, 20
61.42, 1.509, 27
64.62, 1.442, 23


(3)
Starting from the PBE geometry in Alexandria, the powder XRD pattern of Rb5SnF8 was computed for λ = 1.5418 Å (Cu Kα).
Lines closer than 0.1° are merged.

Structural model:
a = 7.312 Å, b = 7.312 Å, c = 8.292 Å
α = 119.66°, β = 119.66°, γ = 73.97°
Positions (direct):
Rb  0.000  0.000  0.000
Rb  0.040  0.480  0.984
Rb  0.416  0.355  0.597
Rb  0.520  0.960  0.016
Rb  0.645  0.584  0.403
Sn  0.041  0.959  0.500
F  0.152  0.762  0.671
F  0.238  0.848  0.329
F  0.275  0.191  0.759
F  0.316  0.282  0.219
F  0.718  0.684  0.781
F  0.809  0.725  0.241
F  0.830  0.104  0.652
F  0.896  0.170  0.348

Peak list (6 most intense, 10 to 90 degrees two-theta, sorted by position)
2theta, d [Å], I_rel
24.42, 3.645, 100
24.82, 3.587, 62
25.40, 3.507, 55
26.72, 3.337, 79
30.97, 2.887, 65
47.85, 1.901, 57


(4)
Starting from the PBE geometry in Alexandria, the powder XRD pattern of HoSn4Rh was computed for λ = 1.5418 Å (Cu Kα).
Lines closer than 0.1° are merged.

Structural model:
a = 5.705 Å, b = 5.705 Å, c = 5.705 Å
α = 106.56°, β = 106.56°, γ = 115.47°
Positions (direct):
Ho  0.000  0.000  0.000
Sn  0.136  0.536  0.877
Sn  0.464  0.341  0.600
Sn  0.659  0.259  0.123
Sn  0.741  0.864  0.400
Rh  0.250  0.750  0.500

Peak list (6 most intense, 10 to 90 degrees two-theta, sorted by position)
2theta, d [Å], I_rel
32.83, 2.728, 100
34.84, 2.575, 46
41.88, 2.157, 15
42.43, 2.130, 21
67.69, 1.384, 15
70.77, 1.331, 14


(5)
Starting from the PBE geometry in Alexandria, the powder XRD pattern of Tb5PrSc was computed for λ = 1.5418 Å (Cu Kα).
Lines closer than 0.1° are merged.

Structural model:
a = 9.282 Å, b = 3.581 Å, c = 13.806 Å
α = 90.00°, β = 103.39°, γ = 90.00°
Positions (direct):
Tb  0.010  0.250  0.375
Tb  0.203  0.750  0.882
Tb  0.333  0.750  0.507
Tb  0.348  0.250  0.720
Tb  0.418  0.250  0.083
Tb  0.582  0.750  0.917
Tb  0.652  0.750  0.280
Tb  0.667  0.250  0.493
Tb  0.797  0.250  0.118
Tb  0.990  0.750  0.625
Pr  0.111  0.750  0.134
Pr  0.889  0.250  0.866
Sc  0.352  0.250  0.308
Sc  0.648  0.750  0.692

Peak list (6 most intense, 10 to 90 degrees two-theta, sorted by position)
2theta, d [Å], I_rel
30.99, 2.886, 97
31.63, 2.829, 56
31.92, 2.803, 100
32.01, 2.796, 50
32.11, 2.788, 73
32.78, 2.732, 58


(6)
Starting from the PBE geometry in Alexandria, the powder XRD pattern of AlCo6 was computed for λ = 1.5418 Å (Cu Kα).
Lines closer than 0.1° are merged.

Structural model:
a = 5.293 Å, b = 5.293 Å, c = 5.293 Å
α = 109.47°, β = 109.47°, γ = 109.47°
Positions (direct):
Al  0.000  0.000  0.000
Co  0.250  0.500  0.750
Co  0.250  0.750  0.500
Co  0.500  0.250  0.750
Co  0.500  0.750  0.250
Co  0.750  0.250  0.500
Co  0.750  0.500  0.250

Peak list (6 most intense, 10 to 90 degrees two-theta, sorted by position)
2theta, d [Å], I_rel
20.55, 4.322, 88
29.23, 3.056, 44
36.00, 2.495, 100
51.82, 1.764, 57
56.33, 1.633, 51
60.60, 1.528, 35